1.
This entry pairs a crystal structure of Na2Si3Pd9 with its theoretical powder XRD pattern. Radiation: Cu Kα, 1.54184 Å. Structure: a DFT-relaxed cell (GGA-PBE, Alexandria).
Peak positions follow from Bragg's law for the DFT cell and can differ from measured ones.

Most intense lines, 5° ≤ 2θ ≤ 70°, low angle first:
2theta  d [Å]  intensity
30.8  2.903  34.7
31.2  2.871  33.8
36.9  2.435  40.6
38.0  2.366  78.3
38.3  2.351  78.8
38.5  2.340  71.3
41.8  2.161  53.0
41.9  2.155  100.0
46.5  1.952  36.9
46.8  1.941  45.4

Cell and atoms:
```
28
Lattice="6.483 -3.729 0.000 6.483 3.729 0.000 -4.202 0.000 9.083" Properties=species:S:1:pos:R:3 pbc="T T T"
Na 1.146 0.641 2.267
Na -0.955 -0.641 6.808
Na 9.719 0.641 2.275
Na 7.618 -0.641 6.816
Si 3.242 1.865 0.000
Si 3.275 1.895 4.555
Si 3.388 1.895 9.069
Si 1.141 -1.865 4.542
Si 5.376 -1.895 0.014
Si 5.489 -1.895 4.528
Pd 5.408 3.206 0.696
Pd 5.457 3.206 3.846
Pd 1.069 0.663 5.214
Pd 3.970 1.431 2.299
Pd 1.145 0.665 8.676
Pd 3.170 -0.663 0.672
Pd 3.332 1.028 6.812
Pd 6.895 1.431 2.242
Pd 3.246 -0.665 4.134
Pd 5.518 0.665 4.949
Pd 1.869 -1.431 6.841
Pd 5.433 -1.028 2.271
Pd 5.594 0.663 8.411
Pd 7.619 -0.665 0.408
Pd 4.794 -1.431 6.784
Pd 7.695 -0.663 3.869
Pd 3.307 -3.206 5.237
Pd 3.356 -3.206 8.387
```

2.
This entry pairs a crystal structure of Ca2B2S with its theoretical powder XRD pattern. Radiation: Cu Kα, 1.54184 Å. Structure: a DFT-relaxed cell (GGA-PBE, Alexandria).
Peak positions follow from Bragg's law for the DFT cell and can differ from measured ones.

Most intense lines, 5° ≤ 2θ ≤ 70°, low angle first:
2theta  d [Å]  intensity
24.4  3.643  12.1
27.6  3.236  11.0
32.7  2.740  11.6
34.8  2.576  78.7
37.2  2.419  100.0
45.0  2.015  10.9
50.1  1.822  24.5
56.9  1.618  8.0
64.0  1.455  34.8
68.5  1.370  17.6

Cell and atoms:
```
5
Lattice="5.153 0.000 0.000 0.000 5.153 0.000 0.000 0.000 3.236" Properties=species:S:1:pos:R:3 pbc="T T T"
Ca 0.000 2.576 0.000
Ca 2.576 0.000 0.000
B 0.000 0.000 0.000
B 0.000 0.000 1.618
S 2.576 2.576 1.618
```